No. 1
For La2PrZn2Si4Ni2, the PBE geometry in OQMD gives the computed XRD peak list in this record (Cu Kα).
Neutral-atom scattering factors, no anomalous dispersion.

abc: 4.139 4.190 24.538
angles: 90.00 90.00 90.00
Space group Immm (No. 71)
Unique sites:
La1 0.000 0.000 0.144 [4 per cell]
Pr1 0.000 0.500 0.500 [2 per cell]
Zn1 0.000 0.500 0.250 [4 per cell]
Si1 0.000 0.000 0.312 [4 per cell]
Si2 0.000 0.500 0.050 [4 per cell]
Ni1 0.000 0.000 0.406 [4 per cell]

Most intense lines, 10 to 80 degrees two-theta, low angle first:
- (1 0 3), 24.1 deg, I = 21.9
- (0 1 7), 33.3 deg, I = 37.4
- (1 1 4), 33.8 deg, I = 100.0
- (0 2 0), 43.2 deg, I = 19.8
- (2 0 0), 43.7 deg, I = 19.1
- (1 0 11), 46.2 deg, I = 18.6

---

No. 2
For La2PrZn2Si4Ni2, the PBE geometry in OQMD gives the computed XRD peak list in this record (Cu Kα).
Neutral-atom scattering factors, no anomalous dispersion.

abc: 4.175 4.235 24.080
angles: 90.00 90.00 90.00
Space group Immm (No. 71)
Unique sites:
La1 0.000 0.000 0.154 [4 per cell]
Pr1 0.000 0.500 0.500 [2 per cell]
Zn1 0.000 0.000 0.400 [4 per cell]
Si1 0.000 0.000 0.296 [4 per cell]
Si2 0.000 0.500 0.049 [4 per cell]
Ni1 0.000 0.500 0.251 [4 per cell]

Most intense lines, 10 to 80 degrees two-theta, low angle first:
- (1 0 3), 24.0 deg, I = 19.4
- (1 1 4), 33.6 deg, I = 100.0
- (1 0 9), 40.0 deg, I = 19.5
- (0 2 0), 42.7 deg, I = 21.1
- (2 0 0), 43.3 deg, I = 16.6
- (2 1 7), 55.9 deg, I = 12.4

---

No. 3
For La3Ni2Pt7, the PBE geometry in OQMD gives the computed XRD peak list in this record (Cu Kα).
Neutral-atom scattering factors, no anomalous dispersion.

abc: 5.4649 5.4649 26.1207
angles: 90.00 90.00 120.00
Space group R-3m (No. 166, hexagonal axes)
Unique sites:
La1 0.0000 0.0000 0.0000 [3 per cell]
La2 0.0000 0.0000 0.1395 [6 per cell]
Ni1 0.0000 0.0000 0.3330 [6 per cell]
Pt1 0.0000 0.0000 0.5000 [3 per cell]
Pt2 0.0023 0.5012 0.9207 [18 per cell]

Most intense lines, 10 to 80 degrees two-theta, low angle first:
- (0 1 8), 33.3 deg, I = 41.8
- (0 2 1), 38.2 deg, I = 62.2
- (2 0 2), 38.7 deg, I = 37.2
- (1 1 6), 38.9 deg, I = 100.0
- (2 0 5), 41.9 deg, I = 53.7
- (2 2 0), 68.7 deg, I = 34.8